No. 1
Structure and calculated powder X-ray diffraction pattern of K2BaCdBiSb (the PBE geometry in OQMD; Cu Kα).

Structural model:
abc: 5.1422 10.1171 8.6515
angles: 90.00 90.00 90.00
Atoms (fractional coordinates):
K 0.0000 0.0828 0.0000
K 0.0000 0.9172 0.5000
K 0.5000 0.1660 0.6778
K 0.5000 0.8340 0.1778
Ba 0.5000 0.4512 0.0267
Ba 0.5000 0.5488 0.5267
Cd 0.0000 0.3265 0.3721
Cd 0.0000 0.6735 0.8721
Bi 0.5000 0.1765 0.2822
Bi 0.5000 0.8235 0.7822
Sb 0.0000 0.3892 0.7378
Sb 0.0000 0.6108 0.2378

Largest 10 diffraction maxima, in order of rising 2θ, 2θ from 10° to 80°:
hkl	Position (°2θ)	I/Imax
0 1 1	13.47	49
1 1 1	21.94	33
1 2 1	26.78	45
0 2 2	27.12	27
1 1 2	28.37	100
1 3 0	31.73	62
0 1 3	32.30	44
2 0 0	34.90	41
1 1 3	36.82	25
1 4 1	41.13	29



No. 2
Structure and calculated powder X-ray diffraction pattern of Te2Ir (the PBE geometry in OQMD; Cu Kα).

Structural model:
abc: 3.8498 6.7949 11.9084
angles: 90.00 90.00 90.00
Atoms (fractional coordinates):
Te 0.0000 0.1379 0.0000
Te 0.0000 0.3623 0.4996
Te 0.0000 0.7028 0.2595
Te 0.0000 0.7974 0.7599
Te 0.5000 0.2026 0.2599
Te 0.5000 0.2972 0.7595
Te 0.5000 0.6377 0.9996
Te 0.5000 0.8621 0.5000
Ir 0.0000 0.0323 0.3801
Ir 0.0000 0.4670 0.8797
Ir 0.5000 0.5330 0.3797
Ir 0.5000 0.9677 0.8801

Largest 10 diffraction maxima, in order of rising 2θ, 2θ from 10° to 80°:
hkl	Position (°2θ)	I/Imax
0 0 2	14.88	100
0 2 1	27.30	22
1 1 1	27.67	24
0 2 2	30.29	31
1 1 2	30.62	81
1 1 3	35.05	83
0 2 4	40.28	36
1 3 0	46.53	25
1 1 5	46.80	43
2 0 0	47.19	73